The following is a computed powder diffractogram of CsPuNbO6. It was derived from a PBE-relaxed structure, using Cu Kα (weighted mean of Kα1 and Kα2).
Lines closer than 0.1° are merged.

The 8 most intense peaks (10° ≤ 2θ ≤ 80°), in order of rising 2θ:
d [Å]  2θ (°)  I (rel.)  index
6.189  14.31  52  1 0 1
3.310  26.94  100  1 2 1
3.258  27.38  43  1 0 3
3.241  27.52  31  2 1 1
3.175  28.11  41  0 2 2
3.095  28.85  44  2 0 2
2.076  43.60  22  3 2 1
1.918  47.39  47  2 2 4

Crystal structure
Lattice parameters (Å, degrees): 7.5395 7.8341 10.8376 90.00 90.00 90.00
Space group Imma (No. 74)
Inequivalent atoms, fractional coordinates:
Cs  0.0000  0.2500  0.1170 [4 per cell]
Pu  0.0000  0.0000  0.5000 [4 per cell]
Nb  0.2500  0.2500  0.7500 [4 per cell]
O  0.0000  0.2500  0.4299 [4 per cell]
O  0.0000  0.2500  0.8072 [4 per cell]
O  0.1922  0.0658  0.6251 [16 per cell]

***

The following is a computed powder diffractogram of MgNi6B6. It was derived from a PBE-relaxed structure, using Cu Kα (weighted mean of Kα1 and Kα2).
Lines closer than 0.1° are merged.

The 8 most intense peaks (10° ≤ 2θ ≤ 80°), in order of rising 2θ:
d [Å]  2θ (°)  I (rel.)  index
3.622  24.58  37  0 2 0
2.561  35.04  68  0 2 2
2.093  43.23  100  1 0 3
2.084  43.42  44  2 0 0
1.812  50.35  38  1 2 3
1.811  50.39  35  0 4 0
1.622  56.76  22  0 2 4
1.618  56.90  36  2 2 2

Crystal structure
Lattice parameters (Å, degrees): 4.1685 7.2449 7.2612 90.00 90.00 90.00
Space group Immm (No. 71)
Inequivalent atoms, fractional coordinates:
Mg  0.0000  0.0000  0.0000 [2 per cell]
Ni  0.0000  0.0000  0.3423 [4 per cell]
Ni  0.0000  0.3356  0.0000 [4 per cell]
Ni  0.0000  0.5000  0.3213 [4 per cell]
B  0.0000  0.2621  0.5000 [4 per cell]
B  0.2500  0.2500  0.2500 [8 per cell]

***

The following is a computed powder diffractogram of TlCoNi2. It was derived from a PBE-relaxed structure, using Cu Kα (weighted mean of Kα1 and Kα2).
Lines closer than 0.1° are merged.

The 8 most intense peaks (10° ≤ 2θ ≤ 80°), in order of rising 2θ:
d [Å]  2θ (°)  I (rel.)  index
3.705  24.02  12  0 0 2
3.408  26.15  38  1 0 1
2.714  33.01  11  1 1 0
2.189  41.23  100  1 1 2
1.919  47.38  33  2 0 0
1.853  49.18  15  0 0 4
1.672  54.91  11  2 1 1
1.333  70.68  19  2 0 4

Crystal structure
Lattice parameters (Å, degrees): 3.8378 3.8378 7.4110 90.00 90.00 90.00
Space group I-4m2 (No. 119)
Inequivalent atoms, fractional coordinates:
Tl  0.0000  0.0000  0.0000 [2 per cell]
Co  0.0000  0.5000  0.7500 [2 per cell]
Ni  0.0000  0.0000  0.5000 [2 per cell]
Ni  0.0000  0.5000  0.2500 [2 per cell]

***

The following is a computed powder diffractogram of CeBiCl. It was derived from a PBE-relaxed structure, using Cu Kα (weighted mean of Kα1 and Kα2).
Lines closer than 0.1° are merged.

The 8 most intense peaks (10° ≤ 2θ ≤ 80°), in order of rising 2θ:
d [Å]  2θ (°)  I (rel.)  index
4.135  21.49  25  1 0 0
2.988  29.90  100  1 0 1
2.387  37.68  42  1 1 0
2.162  41.78  10  0 0 2
1.865  48.83  26  2 0 1
1.602  57.51  24  1 1 2
1.470  63.27  24  2 1 1
1.361  69.01  9  1 0 3

Crystal structure
Lattice parameters (Å, degrees): 4.7746 4.7746 4.3236 90.00 90.00 120.00
Space group P-6m2 (No. 187)
Inequivalent atoms, fractional coordinates:
Ce  0.0000  0.0000  0.0000 [1 per cell]
Bi  0.6667  0.3333  0.5000 [1 per cell]
Cl  0.3333  0.6667  0.0000 [1 per cell]

***

The following is a computed powder diffractogram of Fe7Pd6Pt16. It was derived from a PBE-relaxed structure, using Cu Kα (weighted mean of Kα1 and Kα2).
Lines closer than 0.1° are merged.

The 8 most intense peaks (10° ≤ 2θ ≤ 80°), in order of rising 2θ:
d [Å]  2θ (°)  I (rel.)  index
3.047  29.31  40  4 0 0
2.345  38.38  72  3 3 3
2.154  41.93  100  4 4 0
2.060  43.95  27  5 3 1
2.031  44.61  15  6 0 0
1.338  70.38  15  9 1 1
1.278  74.23  15  9 3 1
1.225  78.01  22  9 3 3

Crystal structure
Lattice parameters (Å, degrees): 12.1873 12.1873 12.1873 90.00 90.00 90.00
Space group Fm-3m (No. 225)
Inequivalent atoms, fractional coordinates:
Fe  0.0000  0.0000  0.0000 [4 per cell]
Fe  0.0000  0.2500  0.2500 [24 per cell]
Pd  0.0000  0.0000  0.3029 [24 per cell]
Pt  0.1187  0.1187  0.1187 [32 per cell]
Pt  0.1600  0.1600  0.3400 [32 per cell]

***

> Number 2 is which compound?

MgNi6B6

***

Repeat the fifth record exactly.
The following is a computed powder diffractogram of Fe7Pd6Pt16. It was derived from a PBE-relaxed structure, using Cu Kα (weighted mean of Kα1 and Kα2).
Lines closer than 0.1° are merged.

The 8 most intense peaks (10° ≤ 2θ ≤ 80°), in order of rising 2θ:
d [Å]  2θ (°)  I (rel.)  index
3.047  29.31  40  4 0 0
2.345  38.38  72  3 3 3
2.154  41.93  100  4 4 0
2.060  43.95  27  5 3 1
2.031  44.61  15  6 0 0
1.338  70.38  15  9 1 1
1.278  74.23  15  9 3 1
1.225  78.01  22  9 3 3

Crystal structure
Lattice parameters (Å, degrees): 12.1873 12.1873 12.1873 90.00 90.00 90.00
Space group Fm-3m (No. 225)
Inequivalent atoms, fractional coordinates:
Fe  0.0000  0.0000  0.0000 [4 per cell]
Fe  0.0000  0.2500  0.2500 [24 per cell]
Pd  0.0000  0.0000  0.3029 [24 per cell]
Pt  0.1187  0.1187  0.1187 [32 per cell]
Pt  0.1600  0.1600  0.3400 [32 per cell]